Mg14NbFe: simulated powder X-ray diffraction pattern (Cu Kα (weighted mean of Kα1 and Kα2)), based on DFT lattice parameters and positions (PBE).

Cell and atoms:
a = 6.2624 Å, b = 6.2624 Å, c = 9.8420 Å
α = 90.00°, β = 90.00°, γ = 120.00°
Space group P-6m2 (No. 187)
Symmetry-distinct sites (fractional):
Mg  0.0000  0.0000  0.2442 (multiplicity 2)
Mg  0.0190  0.5095  0.2578 (multiplicity 6)
Mg  0.3316  0.1658  0.5000 (multiplicity 3)
Mg  0.3408  0.1704  0.0000 (multiplicity 3)
Nb  0.3333  0.6667  0.0000 (multiplicity 1)
Fe  0.3333  0.6667  0.5000 (multiplicity 1)

Peak list (12 most intense, 10° ≤ 2θ ≤ 90°, low angle first)
d [Å]  Position (°2θ)  Rel. int.
5.423  16.34  27.5
3.644  24.42  14.0
2.712  33.03  27.3
2.642  33.93  7.0
2.461  36.52  24.3
2.375  37.88  100.0
1.892  48.08  7.8
1.822  50.06  16.1
1.566  59.00  16.8
1.404  66.63  17.1
1.321  71.41  18.0
1.307  72.28  13.2

---

CoSbSe: simulated powder X-ray diffraction pattern (Cu Kα (weighted mean of Kα1 and Kα2)), based on DFT lattice parameters and positions (PBE).

Cell and atoms:
a = 5.2652 Å, b = 3.5759 Å, c = 6.0744 Å
α = 90.00°, β = 95.12°, γ = 90.00°
Space group P2/m (No. 10)
Symmetry-distinct sites (fractional):
Co  0.0000  0.0000  0.0000 (multiplicity 1)
Co  0.5000  0.5000  0.5000 (multiplicity 1)
Sb  0.2196  0.0000  0.6480 (multiplicity 2)
Se  0.2701  0.5000  0.1410 (multiplicity 2)

Peak list (12 most intense, 10° ≤ 2θ ≤ 90°, low angle first)
d [Å]  Position (°2θ)  Rel. int.
3.798  23.42  26.4
2.954  30.25  43.3
2.728  32.83  66.2
2.709  33.07  100.0
2.622  34.20  27.4
2.604  34.45  74.1
2.525  35.56  58.6
2.042  44.35  40.0
1.953  46.50  55.5
1.788  51.08  36.5
1.757  52.06  60.4
1.459  63.80  29.8

---

PrScSi: simulated powder X-ray diffraction pattern (Cu Kα (weighted mean of Kα1 and Kα2)), based on DFT lattice parameters and positions (PBE).

Cell and atoms:
a = 4.6922 Å, b = 4.6922 Å, c = 14.2351 Å
α = 90.00°, β = 90.00°, γ = 90.00°
Space group I4/mmm (No. 139)
Symmetry-distinct sites (fractional):
Pr  0.0000  0.0000  0.1426 (multiplicity 4)
Sc  0.0000  0.0000  0.3938 (multiplicity 4)
Si  0.0000  0.5000  0.0000 (multiplicity 4)

Peak list (12 most intense, 10° ≤ 2θ ≤ 90°, low angle first)
d [Å]  Position (°2θ)  Rel. int.
4.456  19.92  33.8
3.559  25.02  35.2
3.336  26.72  71.9
3.318  26.87  75.6
2.427  37.04  100.0
2.346  38.37  54.1
1.959  46.35  26.5
1.919  47.37  30.9
1.866  48.81  24.3
1.484  62.58  20.3
1.460  63.73  21.8
1.370  68.51  31.5